No. 1
Starting from a crystal structure in Alexandria, relaxed with PBE, the X-ray powder pattern of Ho2Er2Pb2S was simulated for a wavelength of 1.5418 Å.
Peak positions follow from Bragg's law for the DFT cell and can differ from measured ones.

The 10 most intense peaks (10° ≤ 2θ ≤ 90°), in order of falling intensity:
d [Å]  2θ/deg  I/Imax
2.662  33.7  100
2.519  35.6  73
3.255  27.4  67
1.481  62.7  53
1.832  49.8  38
3.563  25.0  30
2.669  33.6  29
1.781  51.3  26
2.703  33.1  16
1.563  59.1  16

```
data_Ho2Er2Pb2S
_cell_length_a 5.038
_cell_length_b 5.038
_cell_length_c 16.016
_cell_angle_alpha 90.00
_cell_angle_beta 90.00
_cell_angle_gamma 90.00
_symmetry_space_group_name_H-M 'I 4/m m m'
_symmetry_Int_Tables_number 139
_symmetry_space_group_name_Hall '-I 4 2'
loop_
_atom_site_label
_atom_site_type_symbol
_atom_site_fract_x
_atom_site_fract_y
_atom_site_fract_z
_atom_site_occupancy
Ho1 Ho 0.000 0.500 0.000 1
Er1 Er 0.000 0.000 0.167 1
Pb1 Pb 0.000 0.000 0.361 1
S1 S 0.000 0.000 0.000 1
```

---

No. 2
Starting from a crystal structure in Alexandria, relaxed with PBE, the X-ray powder pattern of Tl2SiSbAu6 was simulated for a wavelength of 1.5418 Å.
Peak positions follow from Bragg's law for the DFT cell and can differ from measured ones.

The 10 most intense peaks (10° ≤ 2θ ≤ 90°), in order of falling intensity:
d [Å]  2θ/deg  I/Imax
2.816  31.8  100
2.907  30.8  95
2.335  38.6  59
2.559  35.1  52
1.725  53.1  48
2.468  36.4  38
3.451  25.8  33
2.181  41.4  27
1.509  61.5  26
1.977  45.9  20

```
data_Tl2SiSbAu6
_cell_length_a 7.059
_cell_length_b 9.338
_cell_length_c 7.429
_cell_angle_alpha 90.00
_cell_angle_beta 90.00
_cell_angle_gamma 90.00
_symmetry_space_group_name_H-M 'P m m n'
_symmetry_Int_Tables_number 59
loop_
_symmetry_equiv_pos_as_xyz
'x,y,z'
'-x,-y,-z'
'-x+1/2,-y+1/2,z'
'x+1/2,y+1/2,-z'
'x+1/2,-y,-z'
'-x+1/2,y,z'
'-x,y+1/2,-z'
'x,-y+1/2,z'
loop_
_atom_site_label
_atom_site_type_symbol
_atom_site_fract_x
_atom_site_fract_y
_atom_site_fract_z
_atom_site_occupancy
Tl1 Tl 0.250 0.015 0.244 1
Si1 Si 0.250 0.250 0.598 1
Sb1 Sb 0.250 0.750 0.898 1
Au1 Au 0.048 0.750 0.554 1
Au2 Au 0.052 0.250 0.892 1
Au3 Au 0.250 0.004 0.721 1
```

---

No. 3
Starting from a crystal structure in Alexandria, relaxed with PBE, the X-ray powder pattern of Tb12Dy6Th was simulated for a wavelength of 1.5418 Å.
Peak positions follow from Bragg's law for the DFT cell and can differ from measured ones.

The 10 most intense peaks (10° ≤ 2θ ≤ 90°), in order of falling intensity:
d [Å]  2θ/deg  I/Imax
2.985  29.9  100
2.570  34.9  91
3.424  26.0  85
2.889  30.9  72
2.319  38.8  57
2.415  37.2  52
1.524  60.8  49
1.479  62.8  22
2.878  31.1  21
2.283  39.5  20

```
data_Tb12Dy6Th
_cell_length_a 15.2293
_cell_length_b 15.2293
_cell_length_c 9.7329
_cell_angle_alpha 90.00
_cell_angle_beta 90.00
_cell_angle_gamma 120.00
_symmetry_space_group_name_H-M 'R -3 m'
_symmetry_Int_Tables_number 166
_symmetry_space_group_name_Hall '-R 3 2"'
loop_
_atom_site_label
_atom_site_type_symbol
_atom_site_fract_x
_atom_site_fract_y
_atom_site_fract_z
_atom_site_occupancy
Tb1 Tb 0.0000 0.3916 0.0000 1
Tb2 Tb 0.0696 0.1392 0.8015 1
Dy1 Dy 0.0439 0.5219 0.6976 1
Th1 Th 0.0000 0.0000 0.5000 1
```